# 1
CoPH6O6F: simulated X-ray diffraction stick pattern (Cu Kα X-rays), based on a crystal structure in the Materials Project, relaxed with PBE+U.

Structural model:
```
data_CoPH6O6F
_chemical_formula_sum 'Co4 P4 H24 O24 F4'
_space_group_name_H-M_alt 'P -1'
_space_group_IT_number 2
_space_group_name_Hall '-P 1'
_cell_length_a 4.8337
_cell_length_b 10.4123
_cell_length_c 11.2806
_cell_angle_alpha 96.38
_cell_angle_beta 90.90
_cell_angle_gamma 99.37
loop_
_atom_site_label
_atom_site_type_symbol
_atom_site_fract_x
_atom_site_fract_y
_atom_site_fract_z
Co1 Co 0.0000 0.0000 0.0000
Co2 Co 0.0000 0.0000 0.5000
Co3 Co 0.5000 0.5000 0.0000
Co4 Co 0.5000 0.5000 0.5000
P1 P 0.0732 0.6953 0.4194
P2 P 0.0736 0.6958 0.9199
H1 H 0.1412 0.6104 0.6293
H2 H 0.1416 0.6119 0.1291
H3 H 0.2362 0.2112 0.4088
H4 H 0.2358 0.2108 0.9090
H5 H 0.2681 0.0806 0.2186
H6 H 0.2689 0.0805 0.7186
H7 H 0.3535 0.5948 0.7332
H8 H 0.3549 0.5961 0.2326
H9 H 0.4614 0.1152 0.3991
H10 H 0.4613 0.1149 0.8991
H11 H 0.4905 0.1030 0.1146
H12 H 0.4911 0.1032 0.6145
O1 O 0.1331 0.3473 0.4848
O2 O 0.1337 0.3457 0.9844
O3 O 0.2046 0.8408 0.4447
O4 O 0.2063 0.8412 0.9448
O5 O 0.2630 0.1185 0.8816
O6 O 0.2631 0.1188 0.3818
O7 O 0.2850 0.6048 0.8892
O8 O 0.2870 0.6056 0.3884
O9 O 0.3089 0.0501 0.1354
O10 O 0.3096 0.0502 0.6352
O11 O 0.3377 0.6024 0.6464
O12 O 0.3382 0.6038 0.1458
F1 F 0.1104 0.3135 0.2007
F2 F 0.1109 0.3142 0.7011
```

Principal peaks in the range 15° ≤ 2θ ≤ 90°, low angle first:
15.82°, d 5.602, I = 100, (0 0 2)
24.74°, d 3.598, I = 23, (1 -1 2)
24.93°, d 3.572, I = 23, (0 2 2)
26.08°, d 3.416, I = 40, (1 1 -2)
27.52°, d 3.241, I = 14, (1 -2 2)
27.64°, d 3.227, I = 22, (1 2 0)
29.63°, d 3.015, I = 26, (1 -3 0)
34.88°, d 2.572, I = 41, (-1 3 2)
40.58°, d 2.223, I = 15, (1 2 -4)
51.16°, d 1.785, I = 14, (2 0 4)

# 2
CoSbP2O8: simulated X-ray diffraction stick pattern (Cu Kα X-rays), based on a crystal structure in the Materials Project, relaxed with PBE+U.

Structural model:
```
data_CoSbP2O8
_chemical_formula_sum 'Co4 Sb4 P8 O32'
_space_group_name_H-M_alt 'P 1'
_space_group_IT_number 1
_space_group_name_Hall 'P 1'
_cell_length_a 7.9854
_cell_length_b 8.0414
_cell_length_c 10.9059
_cell_angle_alpha 103.31
_cell_angle_beta 104.21
_cell_angle_gamma 103.56
loop_
_atom_site_label
_atom_site_type_symbol
_atom_site_fract_x
_atom_site_fract_y
_atom_site_fract_z
Co1 Co 0.0000 0.0000 0.0000
Co2 Co 0.1220 0.6286 0.5667
Co3 Co 0.4995 0.5070 0.9963
Co4 Co 0.6228 0.1366 0.5648
Sb1 Sb 0.0585 0.5661 0.0711
Sb2 Sb 0.0646 0.0784 0.4820
Sb3 Sb 0.5575 0.0570 0.0819
Sb4 Sb 0.5642 0.5701 0.4928
P1 P 0.1807 0.6901 0.8772
P2 P 0.3111 0.7946 0.3739
P3 P 0.3119 0.3419 0.1899
P4 P 0.4414 0.4457 0.6863
P5 P 0.6943 0.2005 0.8904
P6 P 0.7948 0.3236 0.3759
P7 P 0.8275 0.8117 0.1881
P8 P 0.9282 0.9356 0.6739
O1 O 0.0066 0.0170 0.8225
O2 O 0.0439 0.7401 0.9580
O3 O 0.0689 0.8848 0.6047
O4 O 0.0798 0.5953 0.7320
O5 O 0.1202 0.3780 0.1464
O6 O 0.1623 0.6687 0.4010
O7 O 0.2313 0.5510 0.9562
O8 O 0.2591 0.7649 0.2184
O9 O 0.2700 0.1423 0.1164
O10 O 0.2795 0.2848 0.6606
O11 O 0.3429 0.8506 0.9029
O12 O 0.3532 0.9941 0.4474
O13 O 0.3640 0.3713 0.3453
O14 O 0.3905 0.5844 0.6070
O15 O 0.4602 0.4682 0.1627
O16 O 0.5024 0.7580 0.4176
O17 O 0.5420 0.5408 0.8315
O18 O 0.5534 0.2511 0.9595
O19 O 0.5789 0.3963 0.6060
O20 O 0.6156 0.1188 0.7417
O21 O 0.6301 0.7799 0.1016
O22 O 0.6595 0.1715 0.3953
O23 O 0.7460 0.0620 0.9644
O24 O 0.7570 0.7700 0.6431
O25 O 0.7637 0.5153 0.4313
O26 O 0.7764 0.2905 0.2283
O27 O 0.8451 0.8449 0.3356
O28 O 0.8594 0.6205 0.1332
O29 O 0.8653 0.3662 0.9210
O30 O 0.8767 0.0742 0.5999
O31 O 0.9630 0.9641 0.1690
O32 O 0.9925 0.3553 0.4618
```

Principal peaks in the range 15° ≤ 2θ ≤ 90°, low angle first:
17.62°, d 5.034, I = 88, (0 0 2)
19.39°, d 4.577, I = 34, (1 1 0)
20.61°, d 4.310, I = 34, (1 1 -2)
23.91°, d 3.722, I = 32, (0 2 0)
24.22°, d 3.675, I = 71, (1 1 1)
25.04°, d 3.556, I = 69, (2 0 -2)
28.35°, d 3.148, I = 100, (2 -2 0)
34.05°, d 2.633, I = 24, (0 2 2)
34.43°, d 2.605, I = 29, (2 0 2)
35.31°, d 2.542, I = 20, (1 -3 2)

# 3
CaTbMn2O6: simulated X-ray diffraction stick pattern (Cu Kα X-rays), based on a crystal structure in the Materials Project, relaxed with PBE+U.

Structural model:
```
data_CaTbMn2O6
_chemical_formula_sum 'Ca2 Tb2 Mn4 O12'
_space_group_name_H-M_alt 'P m n 21'
_space_group_IT_number 31
_space_group_name_Hall 'P 2ac -2'
_cell_length_a 7.5855
_cell_length_b 5.5539
_cell_length_c 5.3728
_cell_angle_alpha 90.00
_cell_angle_beta 90.00
_cell_angle_gamma 90.00
loop_
_atom_site_label
_atom_site_type_symbol
_atom_site_fract_x
_atom_site_fract_y
_atom_site_fract_z
Ca1 Ca 0.0000 0.1992 0.0000
Tb1 Tb 0.0000 0.6893 0.5258
Mn1 Mn 0.2500 0.2463 0.5106
O1 O 0.0000 0.2800 0.4256
O2 O 0.0000 0.7747 0.1080
O3 O 0.2016 0.9495 0.7090
O4 O 0.2038 0.4595 0.8017
```

Principal peaks in the range 15° ≤ 2θ ≤ 90°, low angle first:
19.81°, d 4.481, I = 28, (1 1 0)
20.25°, d 4.384, I = 32, (1 0 1)
32.24°, d 2.777, I = 21, (0 2 0)
33.11°, d 2.706, I = 100, (2 1 1)
33.35°, d 2.686, I = 25, (0 0 2)
39.11°, d 2.303, I = 18, (1 1 2)
47.07°, d 1.931, I = 25, (0 2 2)
47.97°, d 1.896, I = 16, (4 0 0)
48.68°, d 1.871, I = 14, (3 2 0)
59.45°, d 1.555, I = 23, (2 1 3)

# 4
BaLa2Fe2O5F4: simulated X-ray diffraction stick pattern (Cu Kα X-rays), based on a crystal structure in the Materials Project, relaxed with PBE+U.

Structural model:
```
data_BaLa2Fe2O5F4
_chemical_formula_sum 'Ba2 La4 Fe4 O10 F8'
_space_group_name_H-M_alt 'I m m 2'
_space_group_IT_number 44
_space_group_name_Hall 'I 2 -2'
_cell_length_a 4.0225
_cell_length_b 22.3951
_cell_length_c 4.0272
_cell_angle_alpha 90.00
_cell_angle_beta 90.00
_cell_angle_gamma 90.00
loop_
_atom_site_label
_atom_site_type_symbol
_atom_site_fract_x
_atom_site_fract_y
_atom_site_fract_z
Ba1 Ba 0.0000 0.0000 0.0000
La1 La 0.0000 0.1767 0.0128
Fe1 Fe 0.0000 0.4119 0.0003
O1 O 0.0000 0.1013 0.4989
O2 O 0.0000 0.3993 0.4961
O3 O 0.0000 0.5000 0.9976
F1 F 0.0000 0.2500 0.4891
F2 F 0.0000 0.3209 0.9782
```

Principal peaks in the range 15° ≤ 2θ ≤ 90°, low angle first:
22.44°, d 3.961, I = 17, (0 1 1)
23.84°, d 3.733, I = 14, (0 6 0)
29.85°, d 2.994, I = 100, (1 5 0)
31.43°, d 2.846, I = 62, (1 0 1)
35.86°, d 2.504, I = 20, (1 7 0)
39.83°, d 2.263, I = 48, (1 6 1)
45.05°, d 2.012, I = 46, (2 0 0)
54.98°, d 1.670, I = 36, (2 5 1)
59.20°, d 1.561, I = 16, (1 12 1)
68.58°, d 1.368, I = 15, (2 12 0)

# 5
Li4Nb2V3Sn3O16: simulated X-ray diffraction stick pattern (Cu Kα X-rays), based on a crystal structure in the Materials Project, relaxed with PBE+U.

Structural model:
```
data_Li4Nb2V3Sn3O16
_chemical_formula_sum 'Li8 Nb4 V6 Sn6 O32'
_space_group_name_H-M_alt 'C 1 m 1'
_space_group_IT_number 8
_space_group_name_Hall 'C -2y'
_cell_length_a 10.8436
_cell_length_b 6.2098
_cell_length_c 9.8619
_cell_angle_alpha 90.00
_cell_angle_beta 90.76
_cell_angle_gamma 90.00
loop_
_atom_site_label
_atom_site_type_symbol
_atom_site_fract_x
_atom_site_fract_y
_atom_site_fract_z
Li1 Li 0.0000 0.0000 0.0000
Li2 Li 0.0098 0.0000 0.4892
Li3 Li 0.1692 0.5000 0.9060
Li4 Li 0.3274 0.0000 0.4014
Nb1 Nb 0.1504 0.5000 0.4816
Nb2 Nb 0.3221 0.0000 0.0010
V1 V 0.0836 0.2555 0.2133
V2 V 0.1697 0.0000 0.7159
Sn1 Sn 0.3286 0.5000 0.2192
Sn2 Sn 0.4151 0.2466 0.7168
O1 O 0.9996 0.0000 0.8152
O2 O 0.0161 0.5000 0.3534
O3 O 0.0816 0.2547 0.5952
O4 O 0.1690 0.0000 0.0914
O5 O 0.1730 0.5000 0.1058
O6 O 0.2399 0.2822 0.3547
O7 O 0.2658 0.2205 0.8490
O8 O 0.3359 0.0000 0.6035
O9 O 0.3371 0.5000 0.5987
O10 O 0.4125 0.2423 0.0925
O11 O 0.4853 0.0000 0.8440
O12 O 0.4957 0.5000 0.3075
```

Principal peaks in the range 15° ≤ 2θ ≤ 90°, low angle first:
17.99°, d 4.931, I = 66, (0 0 2)
18.76°, d 4.731, I = 100, (2 0 1)
18.82°, d 4.716, I = 71, (1 1 1)
24.56°, d 3.625, I = 42, (2 0 2)
34.15°, d 2.625, I = 85, (4 0 -1)
34.44°, d 2.604, I = 60, (2 2 -1)
34.57°, d 2.595, I = 32, (2 2 1)
43.57°, d 2.077, I = 52, (2 2 3)
58.17°, d 1.586, I = 34, (2 2 5)
59.15°, d 1.562, I = 41, (6 2 0)

# 6
Li7Mn5O12: simulated X-ray diffraction stick pattern (Cu Kα X-rays), based on a crystal structure in the Materials Project, relaxed with PBE+U.

Structural model:
```
data_Li7Mn5O12
_chemical_formula_sum 'Li7 Mn5 O12'
_space_group_name_H-M_alt 'P -1'
_space_group_IT_number 2
_space_group_name_Hall '-P 1'
_cell_length_a 2.9906
_cell_length_b 5.1032
_cell_length_c 15.1153
_cell_angle_alpha 96.22
_cell_angle_beta 93.50
_cell_angle_gamma 103.20
loop_
_atom_site_label
_atom_site_type_symbol
_atom_site_fract_x
_atom_site_fract_y
_atom_site_fract_z
Li1 Li 0.0000 0.0000 0.0000
Li2 Li 0.0182 0.7642 0.2498
Li3 Li 0.2939 0.5703 0.0723
Li4 Li 0.3357 0.0854 0.5836
Mn1 Mn 0.0000 0.5000 0.5000
Mn2 Mn 0.3180 0.3255 0.3318
Mn3 Mn 0.3443 0.8347 0.8404
O1 O 0.0192 0.6091 0.3778
O2 O 0.0481 0.9189 0.1300
O3 O 0.2828 0.4196 0.2078
O4 O 0.3038 0.2195 0.4541
O5 O 0.3233 0.7043 0.9480
O6 O 0.3669 0.9464 0.7140
```

Principal peaks in the range 15° ≤ 2θ ≤ 90°, low angle first:
18.23°, d 4.867, I = 100, (0 1 -1)
34.13°, d 2.627, I = 17, (1 0 2)
36.00°, d 2.495, I = 11, (0 0 6)
36.51°, d 2.461, I = 12, (-1 1 3)
40.87°, d 2.208, I = 35, (1 1 1)
43.99°, d 2.058, I = 28, (0 1 -7)
44.44°, d 2.039, I = 28, (-1 2 2)
61.29°, d 1.512, I = 8, (1 0 8)
61.91°, d 1.499, I = 9, (1 2 -6)
62.30°, d 1.490, I = 8, (-2 1 1)

# 7
MoO2: simulated X-ray diffraction stick pattern (Cu Kα X-rays), based on a crystal structure in the Materials Project, relaxed with PBE+U.

Structural model:
```
data_MoO2
_chemical_formula_sum 'Mo8 O16'
_space_group_name_H-M_alt 'I 4/m'
_space_group_IT_number 87
_space_group_name_Hall '-I 4'
_cell_length_a 10.6228
_cell_length_b 10.6228
_cell_length_c 3.2641
_cell_angle_alpha 90.00
_cell_angle_beta 90.00
_cell_angle_gamma 90.00
loop_
_atom_site_label
_atom_site_type_symbol
_atom_site_fract_x
_atom_site_fract_y
_atom_site_fract_z
Mo1 Mo 0.1569 0.6578 0.0000
O1 O 0.0336 0.3382 0.0000
O2 O 0.1614 0.7847 0.5000
```

Principal peaks in the range 15° ≤ 2θ ≤ 90°, low angle first:
16.69°, d 5.311, I = 70, (2 0 0)
26.53°, d 3.359, I = 59, (3 1 0)
33.30°, d 2.690, I = 100, (1 2 1)
33.75°, d 2.656, I = 24, (4 0 0)
35.87°, d 2.504, I = 24, (3 3 0)
44.82°, d 2.022, I = 38, (4 1 1)
51.63°, d 1.770, I = 18, (6 0 0)
54.34°, d 1.688, I = 49, (5 2 1)
62.83°, d 1.479, I = 25, (5 4 1)
78.24°, d 1.222, I = 12, (1 8 1)

# 8
Li4Co3NiO8: simulated X-ray diffraction stick pattern (Cu Kα X-rays), based on a crystal structure in the Materials Project, relaxed with PBE+U.

Structural model:
```
data_Li4Co3NiO8
_chemical_formula_sum 'Li8 Co6 Ni2 O16'
_space_group_name_H-M_alt 'P -1'
_space_group_IT_number 2
_space_group_name_Hall '-P 1'
_cell_length_a 5.8220
_cell_length_b 5.8630
_cell_length_c 10.2304
_cell_angle_alpha 73.58
_cell_angle_beta 73.49
_cell_angle_gamma 60.35
loop_
_atom_site_label
_atom_site_type_symbol
_atom_site_fract_x
_atom_site_fract_y
_atom_site_fract_z
Li1 Li 0.2452 0.2533 0.2508
Li2 Li 0.2476 0.2529 0.7506
Li3 Li 0.2486 0.7481 0.7494
Li4 Li 0.2502 0.7460 0.2558
Co1 Co 0.0000 0.0000 0.0000
Co2 Co 0.0000 0.5000 0.0000
Co3 Co 0.0000 0.5000 0.5000
Co4 Co 0.5000 0.0000 0.0000
Co5 Co 0.5000 0.0000 0.5000
Co6 Co 0.5000 0.5000 0.5000
Ni1 Ni 0.0000 0.0000 0.5000
Ni2 Ni 0.5000 0.5000 0.0000
O1 O 0.1155 0.6217 0.1101
O2 O 0.1200 0.1467 0.1135
O3 O 0.1261 0.1390 0.6163
O4 O 0.1441 0.6130 0.6139
O5 O 0.3480 0.3772 0.8899
O6 O 0.3625 0.8835 0.8909
O7 O 0.3715 0.3739 0.3799
O8 O 0.3804 0.8803 0.3842
```

Principal peaks in the range 15° ≤ 2θ ≤ 90°, low angle first:
18.36°, d 4.833, I = 100, (0 0 2)
35.77°, d 2.510, I = 15, (0 2 0)
36.08°, d 2.489, I = 28, (2 2 2)
37.67°, d 2.388, I = 10, (2 2 0)
43.36°, d 2.087, I = 26, (0 2 -2)
43.69°, d 2.072, I = 49, (2 2 4)
57.23°, d 1.610, I = 7, (0 2 -4)
57.57°, d 1.601, I = 10, (2 2 6)
63.07°, d 1.474, I = 20, (2 0 6)
63.34°, d 1.468, I = 7, (2 -2 0)

# 9
Mn2OF3: simulated X-ray diffraction stick pattern (Cu Kα X-rays), based on a crystal structure in the Materials Project, relaxed with PBE+U.

Structural model:
```
data_Mn2OF3
_chemical_formula_sum 'Mn4 O2 F6'
_space_group_name_H-M_alt 'P 1 c 1'
_space_group_IT_number 7
_space_group_name_Hall 'P -2yc'
_cell_length_a 3.0893
_cell_length_b 5.1622
_cell_length_c 10.6392
_cell_angle_alpha 90.00
_cell_angle_beta 90.06
_cell_angle_gamma 90.00
loop_
_atom_site_label
_atom_site_type_symbol
_atom_site_fract_x
_atom_site_fract_y
_atom_site_fract_z
Mn1 Mn 0.0000 0.1992 0.0000
Mn2 Mn 0.4997 0.2510 0.7073
O1 O 0.5000 0.0092 0.0649
F1 F 0.0000 0.0607 0.8064
F2 F 0.9998 0.4992 0.1477
F3 F 0.4999 0.4060 0.9207
```

Principal peaks in the range 15° ≤ 2θ ≤ 90°, low angle first:
16.67°, d 5.320, I = 10, (0 0 2)
19.11°, d 4.644, I = 100, (0 1 1)
30.58°, d 2.923, I = 37, (0 1 3)
33.55°, d 2.671, I = 13, (1 0 2)
34.88°, d 2.572, I = 37, (1 1 1)
37.92°, d 2.373, I = 15, (1 1 2)
38.06°, d 2.364, I = 12, (0 1 4)
49.08°, d 1.856, I = 33, (1 2 2)
49.19°, d 1.852, I = 12, (0 2 4)
55.37°, d 1.659, I = 21, (1 1 5)